# NdMg5
Theoretical powder XRD pattern, Cu Ka. Input: a DFT-relaxed cell (PBE, Alexandria).
Neutral-atom scattering factors, no anomalous dispersion.

Structure:
```
data_NdMg5
_chemical_formula_sum 'Nd2 Mg10'
_cell_length_a 4.6133
_cell_length_b 13.6031
_cell_length_c 4.8973
_cell_angle_alpha 90.00
_cell_angle_beta 90.00
_cell_angle_gamma 90.00
_space_group_name_H-M_alt 'C m m m'
_space_group_IT_number 65
_space_group_name_Hall '-C 2 2'
loop_
_atom_site_label
_atom_site_type_symbol
_atom_site_fract_x
_atom_site_fract_y
_atom_site_fract_z
_atom_site_occupancy
Nd1 Nd 0.0000 0.0000 0.0000 1
Mg1 Mg 0.0000 0.1673 0.5000 1
Mg2 Mg 0.0000 0.3237 0.0000 1
Mg3 Mg 0.0000 0.5000 0.5000 1
```

The 10 most intense peaks (15° ≤ 2θ ≤ 90°), by angle:
2θ/deg, I_rel, h k l
18.1, 21, 0 0 1
20.3, 33, 1 1 0
22.4, 23, 0 2 1
27.4, 33, 1 1 1
27.6, 15, 1 3 0
33.2, 100, 1 3 1
36.7, 19, 0 0 2
39.1, 22, 2 0 0
39.8, 15, 0 6 0
63.9, 18, 1 3 3

---

# Nd7Mg
Theoretical powder XRD pattern, Cu Ka. Input: a DFT-relaxed cell (PBE, Alexandria).
Neutral-atom scattering factors, no anomalous dispersion.

Structure:
```
data_Nd7Mg
_chemical_formula_sum 'Nd28 Mg4'
_cell_length_a 10.2382
_cell_length_b 10.2382
_cell_length_c 10.2382
_cell_angle_alpha 90.00
_cell_angle_beta 90.00
_cell_angle_gamma 90.00
_space_group_name_H-M_alt 'F m -3 m'
_space_group_IT_number 225
_space_group_name_Hall '-F 4 2 3'
loop_
_atom_site_label
_atom_site_type_symbol
_atom_site_fract_x
_atom_site_fract_y
_atom_site_fract_z
_atom_site_occupancy
Nd1 Nd 0.0000 0.0000 0.0000 1
Nd2 Nd 0.0000 0.2500 0.2500 1
Mg1 Mg 0.0000 0.0000 0.5000 1
```

The 10 most intense peaks (15° ≤ 2θ ≤ 90°), by angle:
2θ/deg, I_rel, h k l
17.3, 4, 2 0 0
28.9, 4, 3 1 1
30.2, 100, 2 2 2
35.1, 51, 4 0 0
50.4, 36, 4 4 0
59.9, 43, 6 2 2
62.9, 12, 4 4 4
74.1, 6, 8 0 0
82.1, 17, 6 6 2
84.7, 16, 8 4 0

---

# Nd3Mg5Ni2
Theoretical powder XRD pattern, Cu Ka. Input: a DFT-relaxed cell (PBE, Alexandria).
Neutral-atom scattering factors, no anomalous dispersion.

Structure:
```
data_Nd3Mg5Ni2
_chemical_formula_sum 'Nd12 Mg20 Ni8'
_cell_length_a 11.7478
_cell_length_b 12.9570
_cell_length_c 6.3874
_cell_angle_alpha 90.00
_cell_angle_beta 90.00
_cell_angle_gamma 90.00
_space_group_name_H-M_alt 'I b a m'
_space_group_IT_number 72
_space_group_name_Hall '-I 2 2c'
loop_
_atom_site_label
_atom_site_type_symbol
_atom_site_fract_x
_atom_site_fract_y
_atom_site_fract_z
_atom_site_occupancy
Nd1 Nd 0.0000 0.0000 0.2500 1
Nd2 Nd 0.2435 0.1681 0.0000 1
Mg1 Mg 0.0000 0.2689 0.2500 1
Mg2 Mg 0.0000 0.5000 0.2500 1
Mg3 Mg 0.1891 0.4214 0.0000 1
Ni1 Ni 0.1189 0.1539 0.5000 1
```

The 10 most intense peaks (15° ≤ 2θ ≤ 90°), by angle:
2θ/deg, I_rel, h k l
20.4, 45, 2 2 0
30.1, 60, 3 2 1
31.2, 22, 0 2 2
31.5, 33, 2 4 0
31.9, 100, 2 0 2
35.8, 22, 1 3 2
38.7, 34, 3 4 1
39.6, 31, 0 4 2
43.3, 22, 5 2 1
50.8, 23, 3 2 3

---

# Nd3Mg2Ni4
Theoretical powder XRD pattern, Cu Ka. Input: a DFT-relaxed cell (PBE, Alexandria).
Neutral-atom scattering factors, no anomalous dispersion.

Structure:
```
data_Nd3Mg2Ni4
_chemical_formula_sum 'Nd6 Mg4 Ni8'
_cell_length_a 10.1180
_cell_length_b 4.1304
_cell_length_c 8.9235
_cell_angle_alpha 90.00
_cell_angle_beta 95.42
_cell_angle_gamma 90.00
_space_group_name_H-M_alt 'C 1 2/m 1'
_space_group_IT_number 12
loop_
_space_group_symop_operation_xyz
'x,y,z'
'-x,-y,-z'
'-x,y,-z'
'x,-y,z'
'x+1/2,y+1/2,z'
'-x+1/2,-y+1/2,-z'
'-x+1/2,y+1/2,-z'
'x+1/2,-y+1/2,z'
loop_
_atom_site_label
_atom_site_type_symbol
_atom_site_fract_x
_atom_site_fract_y
_atom_site_fract_z
_atom_site_occupancy
Nd1 Nd 0.0000 0.0000 0.0000 1
Nd2 Nd 0.1283 0.5000 0.3791 1
Mg1 Mg 0.1737 0.5000 0.7837 1
Ni1 Ni 0.0768 0.0000 0.6162 1
Ni2 Ni 0.2189 0.5000 0.0735 1
```

The 10 most intense peaks (15° ≤ 2θ ≤ 90°), by angle:
2θ/deg, I_rel, h k l
20.0, 28, 0 0 2
25.7, 100, 1 1 1
30.2, 39, 0 0 3
30.3, 55, 1 1 -2
34.4, 85, 3 1 0
38.1, 40, 4 0 1
38.8, 76, 3 1 -2
39.1, 51, 1 1 3
43.8, 48, 0 2 0
48.2, 39, 3 1 3

---

# Nd7Mg2Ni2
Theoretical powder XRD pattern, Cu Ka. Input: a DFT-relaxed cell (PBE, Alexandria).
Neutral-atom scattering factors, no anomalous dispersion.

Structure:
```
data_Nd7Mg2Ni2
_chemical_formula_sum 'Nd14 Mg4 Ni4'
_cell_length_a 7.9333
_cell_length_b 11.5525
_cell_length_c 7.4264
_cell_angle_alpha 90.00
_cell_angle_beta 90.00
_cell_angle_gamma 90.00
_space_group_name_H-M_alt 'C m m m'
_space_group_IT_number 65
_space_group_name_Hall '-C 2 2'
loop_
_atom_site_label
_atom_site_type_symbol
_atom_site_fract_x
_atom_site_fract_y
_atom_site_fract_z
_atom_site_occupancy
Nd1 Nd 0.0000 0.0000 0.0000 1
Nd2 Nd 0.0000 0.5000 0.2289 1
Nd3 Nd 0.2500 0.2500 0.2459 1
Mg1 Mg 0.1745 0.0000 0.5000 1
Ni1 Ni 0.0000 0.2966 0.0000 1
```

The 10 most intense peaks (15° ≤ 2θ ≤ 90°), by angle:
2θ/deg, I_rel, h k l
24.0, 25, 0 0 2
27.3, 100, 2 2 0
27.6, 43, 1 1 2
31.0, 59, 0 4 0
33.0, 24, 2 0 2
35.4, 40, 1 3 2
36.6, 88, 2 2 2
52.9, 21, 2 6 0
56.3, 25, 4 4 0
57.0, 23, 2 2 4